Starting from a crystal structure in Alexandria, relaxed with PBE, the XRD peak list of PmNdAgAu was calculated for Cu Kα X-rays.

Structural model:
```
PmNdAgAu
1.0
0.0000 3.7205 3.7205
3.7205 0.0000 3.7205
3.7205 3.7205 0.0000
Pm Nd Ag Au
1 1 1 1
Direct
0.0000 0.0000 0.0000
0.5000 0.5000 0.5000
0.7500 0.7500 0.7500
0.2500 0.2500 0.2500
```

Largest 10 diffraction maxima, in order of falling intensity, 2θ from 10° to 90°:
2θ = 34.08°, d 2.631, rel. 100
2θ = 61.00°, d 1.519, rel. 37
2θ = 48.96°, d 1.860, rel. 18
2θ = 81.88°, d 1.177, rel. 16
2θ = 71.76°, d 1.315, rel. 11
2θ = 20.68°, d 4.296, rel. 4
2θ = 40.19°, d 2.244, rel. 3
2θ = 53.69°, d 1.707, rel. 1
2θ = 75.60°, d 1.258, rel. 1
2θ = 65.14°, d 1.432, rel. 1

=====

Starting from a crystal structure in Alexandria, relaxed with PBE, the XRD peak list of PrNdAgAu was calculated for Cu Kα X-rays.

Structural model:
```
PrNdAgAu
1.0
4.8590 0.0000 0.0000
0.0000 1.9678 5.6800
0.0000 -1.9678 5.6800
Pr Nd Ag Au
1 1 1 1
Direct
0.0000 0.0000 0.0000
0.5000 0.7215 0.7215
0.5000 0.4408 0.4408
0.0000 0.2790 0.2790
```

Largest 10 diffraction maxima, in order of falling intensity, 2θ from 10° to 90°:
2θ = 30.27°, d 2.953, rel. 100
2θ = 37.81°, d 2.379, rel. 79
2θ = 37.00°, d 2.429, rel. 36
2θ = 36.65°, d 2.452, rel. 30
2θ = 31.50°, d 2.840, rel. 27
2θ = 46.13°, d 1.968, rel. 23
2θ = 32.82°, d 2.729, rel. 21
2θ = 60.55°, d 1.529, rel. 20
2θ = 74.30°, d 1.277, rel. 17
2θ = 49.36°, d 1.846, rel. 15

=====

Starting from a crystal structure in Alexandria, relaxed with PBE, the XRD peak list of AgAuO2 was calculated for Cu Kα X-rays.

Structural model:
```
AgAuO2
1.0
-2.3975 2.3975 5.4321
2.3975 -2.3975 5.4321
2.3975 2.3975 -5.4321
Ag Au O
2 2 4
Direct
0.0000 0.0000 0.0000
0.7500 0.2500 0.5000
0.2500 0.7500 0.5000
0.5000 0.5000 0.0000
0.1548 0.1250 0.5298
0.3750 0.4048 0.5298
0.5952 0.6250 0.4702
0.8750 0.8452 0.4702
```

Largest 10 diffraction maxima, in order of falling intensity, 2θ from 10° to 90°:
2θ = 31.09°, d 2.876, rel. 100
2θ = 50.80°, d 1.797, rel. 30
2θ = 63.72°, d 1.461, rel. 26
2θ = 37.51°, d 2.398, rel. 24
2θ = 57.72°, d 1.597, rel. 17
2θ = 32.98°, d 2.716, rel. 17
2θ = 83.08°, d 1.163, rel. 12
2θ = 54.10°, d 1.695, rel. 12
2θ = 20.24°, d 4.387, rel. 11
2θ = 64.83°, d 1.438, rel. 10